(1)
# CaTiP2O7
Computed X-ray diffraction stick pattern, Cu Ka. Input: a DFT-relaxed cell (PBE, the Materials Project).
Neutral-atom scattering factors, no anomalous dispersion.

Main lines, by angle (10 to 90 degrees two-theta):
- 27.07°, d 3.294, I 38
- 28.68°, d 3.113, I 100
- 28.86°, d 3.094, I 72
- 30.55°, d 2.926, I 75
- 31.23°, d 2.864, I 71
- 42.46°, d 2.129, I 22
- 49.66°, d 1.836, I 17
- 53.26°, d 1.720, I 17

Crystal structure
a = 6.6071 Å, b = 6.6705 Å, c = 6.7919 Å
α = 65.69°, β = 85.63°, γ = 82.60°
Fractional positions:
Ca 0.1421 0.2284 0.3266
Ca 0.8579 0.7716 0.6734
Ti 0.3592 0.4059 0.7087
Ti 0.6408 0.5941 0.2913
P 0.1394 0.7318 0.2457
P 0.3737 0.8587 0.8272
P 0.6263 0.1413 0.1728
P 0.8606 0.2682 0.7543
O 0.0267 0.3949 0.7842
O 0.0678 0.8811 0.3610
O 0.2256 0.8936 0.0181
O 0.2709 0.7073 0.7571
O 0.3173 0.5506 0.3567
O 0.3734 0.0960 0.6540
O 0.4159 0.2429 0.0728
O 0.5841 0.7571 0.9272
O 0.6266 0.9040 0.3460
O 0.6827 0.4494 0.6433
O 0.7291 0.2927 0.2429
O 0.7744 0.1064 0.9819
O 0.9322 0.1189 0.6390
O 0.9733 0.6051 0.2158

***

(2)
# Te6MoW3Se2
Computed X-ray diffraction stick pattern, Cu Ka. Input: a DFT-relaxed cell (PBE, the Materials Project).
Neutral-atom scattering factors, no anomalous dispersion.

Main lines, by angle (10 to 90 degrees two-theta):
- 11.15°, d 7.935, I 100
- 13.39°, d 6.613, I 17
- 29.50°, d 3.028, I 49
- 34.70°, d 2.585, I 93
- 42.02°, d 2.150, I 60
- 43.74°, d 2.070, I 20
- 52.32°, d 1.749, I 38
- 73.83°, d 1.283, I 18

Crystal structure
a = 3.4980 Å, b = 3.4980 Å, c = 39.6763 Å
α = 90.00°, β = 90.00°, γ = 120.00°
Fractional positions:
Te 0.0000 0.0000 0.0000
Te 0.0000 0.0000 0.0923
Te 0.0000 0.0000 0.3755
Te 0.0000 0.0000 0.4684
Te 0.6667 0.3333 0.1876
Te 0.6667 0.3333 0.2805
Mo 0.6667 0.3333 0.0462
W 0.0000 0.0000 0.2340
W 0.0000 0.0000 0.6098
W 0.6667 0.3333 0.4219
Se 0.6667 0.3333 0.5689
Se 0.6667 0.3333 0.6507

***

(3)
# Cs2BeO2
Computed X-ray diffraction stick pattern, Cu Ka. Input: a DFT-relaxed cell (PBE, the Materials Project).
Neutral-atom scattering factors, no anomalous dispersion.

Main lines, by angle (10 to 90 degrees two-theta):
- 26.44°, d 3.371, I 37
- 27.09°, d 3.292, I 59
- 28.34°, d 3.150, I 100
- 30.14°, d 2.965, I 94
- 32.39°, d 2.764, I 38
- 35.26°, d 2.546, I 22
- 35.50°, d 2.529, I 24
- 49.40°, d 1.845, I 23

Crystal structure
a = 7.9804 Å, b = 6.2974 Å, c = 11.8925 Å
α = 90.00°, β = 132.02°, γ = 90.00°
Fractional positions:
Cs 0.1464 0.0681 0.2535
Cs 0.1464 0.4319 0.7535
Cs 0.2777 0.6392 0.1218
Cs 0.2777 0.8608 0.6218
Cs 0.7223 0.1392 0.3782
Cs 0.7223 0.3608 0.8782
Cs 0.8536 0.5681 0.2465
Cs 0.8536 0.9319 0.7465
Be 0.4062 0.0744 0.0207
Be 0.4062 0.4256 0.5207
Be 0.5938 0.5744 0.4793
Be 0.5938 0.9256 0.9793
O 0.2702 0.1776 0.0528
O 0.2702 0.3224 0.5528
O 0.3414 0.6209 0.4099
O 0.3414 0.8791 0.9099
O 0.6586 0.1209 0.0901
O 0.6586 0.3791 0.5901
O 0.7298 0.6776 0.4472
O 0.7298 0.8224 0.9472

***

(4)
# Eu2MgCuO4
Computed X-ray diffraction stick pattern, Cu Ka. Input: a DFT-relaxed cell (PBE, the Materials Project).
Neutral-atom scattering factors, no anomalous dispersion.

Main lines, by angle (10 to 90 degrees two-theta):
- 20.05°, d 4.429, I 17
- 26.56°, d 3.356, I 100
- 30.27°, d 2.952, I 15
- 31.00°, d 2.885, I 36
- 33.50°, d 2.675, I 33
- 43.88°, d 2.063, I 21
- 44.41°, d 2.040, I 26
- 52.50°, d 1.743, I 30

Crystal structure
a = 9.3152 Å, b = 9.3152 Å, c = 9.3152 Å
α = 154.70°, β = 154.70°, γ = 36.08°
Fractional positions:
Eu 0.1898 0.1898 0.0000
Eu 0.8102 0.8102 0.0000
Mg 0.0000 0.0000 0.0000
Cu 0.5000 0.5000 0.0000
O 0.0000 0.5000 0.5000
O 0.2500 0.7500 0.5000
O 0.5000 0.0000 0.5000
O 0.7500 0.2500 0.5000

***

(5)
# LiFe6Ge4
Computed X-ray diffraction stick pattern, Cu Ka. Input: a DFT-relaxed cell (PBE, the Materials Project).
Neutral-atom scattering factors, no anomalous dispersion.

Main lines, by angle (10 to 90 degrees two-theta):
- 13.62°, d 6.501, I 17
- 35.57°, d 2.524, I 18
- 41.58°, d 2.172, I 33
- 41.68°, d 2.167, I 36
- 45.49°, d 1.994, I 100
- 47.70°, d 1.907, I 60
- 75.33°, d 1.262, I 26
- 89.97°, d 1.091, I 25

Crystal structure
a = 7.1242 Å, b = 7.1242 Å, c = 7.1242 Å
α = 41.49°, β = 41.49°, γ = 41.49°
Fractional positions:
Li 0.0000 0.0000 0.0000
Fe 0.1136 0.6002 0.6002
Fe 0.3998 0.3998 0.8864
Fe 0.3998 0.8864 0.3998
Fe 0.6002 0.1136 0.6002
Fe 0.6002 0.6002 0.1136
Fe 0.8864 0.3998 0.3998
Ge 0.1273 0.1273 0.1273
Ge 0.3316 0.3316 0.3316
Ge 0.6684 0.6684 0.6684
Ge 0.8727 0.8727 0.8727

***

(6)
# Pr3Ga2Ni4
Computed X-ray diffraction stick pattern, Cu Ka. Input: a DFT-relaxed cell (PBE, the Materials Project).
Neutral-atom scattering factors, no anomalous dispersion.

Main lines, by angle (10 to 90 degrees two-theta):
- 26.66°, d 3.344, I 82
- 31.58°, d 2.833, I 72
- 35.05°, d 2.560, I 100
- 35.78°, d 2.510, I 52
- 36.54°, d 2.459, I 54
- 39.43°, d 2.285, I 63
- 42.68°, d 2.119, I 73
- 44.17°, d 2.051, I 71

Crystal structure
a = 5.3828 Å, b = 5.3828 Å, c = 8.0840 Å
α = 98.26°, β = 98.26°, γ = 44.78°
Fractional positions:
Pr 0.0000 0.0000 0.0000
Pr 0.3769 0.3769 0.6204
Pr 0.6231 0.6231 0.3796
Ga 0.3225 0.3225 0.2150
Ga 0.6775 0.6775 0.7850
Ni 0.0847 0.0847 0.6376
Ni 0.2612 0.2612 0.9139
Ni 0.7388 0.7388 0.0861
Ni 0.9153 0.9153 0.3624